Simulated X-ray powder pattern of ThSiOs2C for copper Kα, from a PBE-relaxed structure.
Neutral-atom scattering factors, no anomalous dispersion.

Top 6 peaks for 2θ = 5–70°, sorted by position:
- 29.49 deg, intensity 41, (0 2 2)
- 32.77 deg, intensity 92, (1 3 0)
- 34.26 deg, intensity 44, (0 4 1)
- 34.49 deg, intensity 100, (1 1 2)
- 40.92 deg, intensity 40, (0 2 3)
- 61.08 deg, intensity 35, (1 5 3)

Crystal structure
Lattice parameters (Å, degrees): 3.995 11.238 7.194 90.00 90.00 90.00
Space group Cmcm (No. 63)
Unique sites:
Th 0.000 0.053 0.250 [4 per cell]
Si 0.000 0.228 0.750 [4 per cell]
Os 0.000 0.334 0.056 [8 per cell]
C 0.000 0.500 0.000 [4 per cell]

Simulated X-ray powder pattern of MgZrTiPb2O6 for copper Kα, from a PBE-relaxed structure.
Neutral-atom scattering factors, no anomalous dispersion.

Top 6 peaks for 2θ = 5–70°, sorted by position:
- 21.45 deg, intensity 100, (0 1 1)
- 27.03 deg, intensity 55, (1 1 -1)
- 27.14 deg, intensity 43, (1 1 1)
- 32.45 deg, intensity 55, (1 0 -2)
- 33.00 deg, intensity 67, (0 2 0)
- 47.36 deg, intensity 36, (2 2 0)

Crystal structure
Lattice parameters (Å, degrees): 5.431 5.427 6.397 90.00 90.36 90.00
Space group Pm (No. 6)
Unique sites:
Mg 0.000 0.000 0.000 [1 per cell]
Zr 0.495 0.000 0.770 [1 per cell]
Ti 0.003 0.500 0.793 [1 per cell]
Pb 0.023 0.000 0.454 [1 per cell]
Pb 0.507 0.500 0.144 [1 per cell]
O 0.013 0.500 0.521 [1 per cell]
O 0.250 0.260 0.913 [2 per cell]
O 0.492 0.000 0.468 [1 per cell]
O 0.754 0.258 0.899 [2 per cell]

Simulated X-ray powder pattern of AgBF4 for copper Kα, from a PBE-relaxed structure.
Neutral-atom scattering factors, no anomalous dispersion.

Top 6 peaks for 2θ = 5–70°, sorted by position:
- 20.69 deg, intensity 85, (0 1 1)
- 27.17 deg, intensity 100, (2 1 0)
- 27.98 deg, intensity 63, (1 0 2)
- 30.14 deg, intensity 93, (2 1 1)
- 41.77 deg, intensity 70, (2 2 1)
- 44.00 deg, intensity 75, (1 1 3)

Crystal structure
Lattice parameters (Å, degrees): 8.201 5.473 6.921 90.00 90.00 90.00
Space group Pnma (No. 62)
Unique sites:
Ag 0.180 0.250 0.170 [4 per cell]
B 0.061 0.250 0.682 [4 per cell]
F 0.073 0.038 0.802 [8 per cell]
F 0.091 0.750 0.413 [4 per cell]
F 0.191 0.250 0.548 [4 per cell]

Simulated X-ray powder pattern of Mg14ZnGa for copper Kα, from a PBE-relaxed structure.
Neutral-atom scattering factors, no anomalous dispersion.

Top 6 peaks for 2θ = 5–70°, sorted by position:
- 8.58 deg, intensity 37, (1 0 0)
- 32.83 deg, intensity 25, (0 2 2)
- 34.84 deg, intensity 40, (4 0 0)
- 37.30 deg, intensity 100, (2 2 2)
- 37.63 deg, intensity 48, (2 0 4)
- 64.09 deg, intensity 19, (6 2 2)

Crystal structure
Lattice parameters (Å, degrees): 10.300 6.323 10.796 90.00 90.00 90.00
Space group Amm2 (No. 38)
Unique sites:
Mg 0.000 0.000 0.000 [2 per cell]
Mg 0.000 0.000 0.500 [2 per cell]
Mg 0.000 0.250 0.251 [4 per cell]
Mg 0.251 0.000 0.166 [4 per cell]
Mg 0.252 0.000 0.666 [4 per cell]
Mg 0.257 0.249 0.420 [8 per cell]
Mg 0.500 0.250 0.249 [4 per cell]
Zn 0.500 0.000 0.501 [2 per cell]
Ga 0.500 0.000 0.001 [2 per cell]

Simulated X-ray powder pattern of YCr2Fe10 for copper Kα, from a PBE-relaxed structure.
Neutral-atom scattering factors, no anomalous dispersion.

Top 6 peaks for 2θ = 5–70°, sorted by position:
- 42.82 deg, intensity 47, (0 0 4)
- 43.15 deg, intensity 43, (0 4 0)
- 43.26 deg, intensity 57, (1 2 3)
- 43.36 deg, intensity 72, (1 3 2)
- 44.26 deg, intensity 100, (2 0 2)
- 49.53 deg, intensity 62, (2 2 2)

Crystal structure
Lattice parameters (Å, degrees): 4.683 8.386 8.447 90.00 90.00 90.00
Space group Immm (No. 71)
Unique sites:
Y 0.000 0.000 0.000 [2 per cell]
Cr 0.000 0.000 0.368 [4 per cell]
Fe 0.000 0.274 0.500 [4 per cell]
Fe 0.000 0.359 0.000 [4 per cell]
Fe 0.000 0.500 0.272 [4 per cell]
Fe 0.250 0.250 0.250 [8 per cell]

Simulated X-ray powder pattern of Al13Si5ClO38 for copper Kα, from a PBE-relaxed structure.
Neutral-atom scattering factors, no anomalous dispersion.

Top 6 peaks for 2θ = 5–70°, sorted by position:
- 10.96 deg, intensity 100, (1 1 1)
- 21.07 deg, intensity 93, (3 1 1)
- 22.02 deg, intensity 60, (2 2 2)
- 31.34 deg, intensity 39, (4 2 2)
- 33.29 deg, intensity 90, (3 3 3)
- 55.79 deg, intensity 42, (6 6 0)

Crystal structure
Lattice parameters (Å, degrees): 13.983 13.983 13.983 90.00 90.00 90.00
Space group F-43m (No. 216)
Unique sites:
Al 0.000 0.000 0.000 [4 per cell]
Al 0.017 0.166 0.834 [48 per cell]
Si 0.000 0.000 0.500 [4 per cell]
Si 0.134 0.134 0.634 [16 per cell]
Cl 0.250 0.250 0.250 [4 per cell]
O 0.030 0.250 0.250 [24 per cell]
O 0.067 0.067 0.567 [16 per cell]
O 0.074 0.074 0.195 [48 per cell]
O 0.075 0.075 0.925 [16 per cell]
O 0.111 0.111 0.748 [48 per cell]

Simulated X-ray powder pattern of NaS2 for copper Kα, from a PBE-relaxed structure.
Neutral-atom scattering factors, no anomalous dispersion.

Top 6 peaks for 2θ = 5–70°, sorted by position:
- 21.80 deg, intensity 48, (2 1 1)
- 28.62 deg, intensity 41, (3 0 1)
- 30.44 deg, intensity 100, (2 1 3)
- 32.82 deg, intensity 86, (3 1 2)
- 39.05 deg, intensity 35, (4 1 1)
- 40.45 deg, intensity 29, (3 2 3)

Crystal structure
Lattice parameters (Å, degrees): 9.693 9.693 11.974 90.00 90.00 90.00
Space group I-42d (No. 122)
Unique sites:
Na 0.000 0.000 0.170 [8 per cell]
Na 0.227 0.750 0.625 [8 per cell]
S 0.033 0.749 0.296 [16 per cell]
S 0.118 0.147 0.603 [16 per cell]

Simulated X-ray powder pattern of Sr2GdCu2RuO8 for copper Kα, from a PBE-relaxed structure.
Neutral-atom scattering factors, no anomalous dispersion.

Top 6 peaks for 2θ = 5–70°, sorted by position:
- 24.12 deg, intensity 13, (1 1 -1)
- 32.52 deg, intensity 50, (2 0 0)
- 32.68 deg, intensity 100, (1 1 3)
- 46.65 deg, intensity 33, (2 2 0)
- 58.16 deg, intensity 28, (3 1 3)
- 58.46 deg, intensity 11, (0 2 6)

Crystal structure
Lattice parameters (Å, degrees): 5.513 5.500 11.571 90.00 90.16 90.00
Space group C2 (No. 5)
Unique sites:
Sr 0.000 0.000 0.189 [4 per cell]
Gd 0.000 0.000 0.500 [2 per cell]
Cu 0.000 0.500 0.357 [4 per cell]
Ru 0.000 0.518 0.000 [2 per cell]
O 0.004 0.499 0.169 [4 per cell]
O 0.237 0.780 0.001 [4 per cell]
O 0.250 0.250 0.373 [4 per cell]
O 0.250 0.251 0.628 [4 per cell]

Q: What is the formula in the fourth record?
A: Mg14ZnGa